Entry 1:
Calculated powder diffractogram
Compound: AgSb2Cl
Radiation: Cu Kα (weighted mean of Kα1 and Kα2)
Structure: a GGA-PBE-relaxed structure
Intensities are scaled so that the largest is 100.

Top 10 peaks for 2θ from 10° to 90°, most intense first:
two_theta, I/Imax
31.07, 100
29.37, 72
47.39, 54
39.91, 46
36.34, 41
17.46, 40
46.44, 34
42.68, 25
20.86, 20
17.94, 13

Atomic structure:
```
data_AgSb2Cl
_space_group_name_H-M_alt 'P 1'
_space_group_IT_number 1
_space_group_name_Hall 'P 1'
_cell_length_a 4.3087
_cell_length_b 4.9449
_cell_length_c 5.1389
_cell_angle_alpha 90.00
_cell_angle_beta 98.82
_cell_angle_gamma 90.00
loop_
_atom_site_label
_atom_site_type_symbol
_atom_site_fract_x
_atom_site_fract_y
_atom_site_fract_z
Ag1 Ag 0.0000 0.0000 0.0000
Sb1 Sb 0.2100 0.5000 0.8040
Sb2 Sb 0.7900 0.5000 0.1960
Cl1 Cl 0.5000 0.0000 0.5000
```

***

Entry 2:
Calculated powder diffractogram
Compound: Ce5Pa3As8
Radiation: Cu Kα (weighted mean of Kα1 and Kα2)
Structure: a GGA-PBE-relaxed structure
Intensities are scaled so that the largest is 100.

Top 10 peaks for 2θ from 10° to 90°, most intense first:
two_theta, I/Imax
30.36, 100
43.47, 75
26.21, 27
53.97, 20
79.83, 19
71.73, 17
71.63, 17
51.47, 14
63.16, 12
53.85, 7

Atomic structure:
```
data_Ce5Pa3As8
_space_group_name_H-M_alt 'P 1'
_space_group_IT_number 1
_space_group_name_Hall 'P 1'
_cell_length_a 8.3338
_cell_length_b 8.3338
_cell_length_c 8.3338
_cell_angle_alpha 59.90
_cell_angle_beta 59.90
_cell_angle_gamma 59.90
loop_
_atom_site_label
_atom_site_type_symbol
_atom_site_fract_x
_atom_site_fract_y
_atom_site_fract_z
Ce1 Ce 0.0000 0.0000 0.0000
Ce2 Ce 0.0000 0.5000 0.5000
Ce3 Ce 0.5000 0.0000 0.5000
Ce4 Ce 0.5000 0.5000 0.0000
Ce5 Ce 0.5000 0.5000 0.5000
Pa1 Pa 0.0000 0.0000 0.5000
Pa2 Pa 0.0000 0.5000 0.0000
Pa3 Pa 0.5000 0.0000 0.0000
As1 As 0.2431 0.7500 0.7500
As2 As 0.2470 0.2470 0.2470
As3 As 0.2500 0.2500 0.7569
As4 As 0.2500 0.7569 0.2500
As5 As 0.7500 0.2431 0.7500
As6 As 0.7500 0.7500 0.2431
As7 As 0.7530 0.7530 0.7530
As8 As 0.7569 0.2500 0.2500
```